(1)
This entry pairs a crystal structure of LiCd4Hg3 with its theoretical powder X-ray diffraction pattern. Radiation: Cu Ka. Structure: a structure optimized by DFT (PBE).

Peak list (6 most intense, 10° ≤ 2θ ≤ 90°, in order of falling intensity)
31.97°, d 2.799, rel. 100.0
31.33°, d 2.855, rel. 94.8
34.31°, d 2.614, rel. 81.2
40.28°, d 2.239, rel. 69.2
36.55°, d 2.458, rel. 43.9
43.33°, d 2.088, rel. 36.8

Cell and atoms:
Lattice parameters (Å, degrees): 3.221 4.479 12.958 81.20 85.02 89.91
Element x y z (fractional)
Li 0.000 0.000 0.000
Cd 0.274 0.776 0.440
Cd 0.419 0.894 0.188
Cd 0.581 0.106 0.812
Cd 0.726 0.224 0.560
Hg 0.144 0.661 0.696
Hg 0.500 0.500 0.000
Hg 0.856 0.339 0.304

---

(2)
This entry pairs a crystal structure of ErGa3Ru3 with its theoretical powder X-ray diffraction pattern. Radiation: Cu Ka. Structure: a structure optimized by DFT (PBE).

Peak list (6 most intense, 10° ≤ 2θ ≤ 90°, in order of falling intensity)
32.88°, d 2.724, rel. 100.0
51.23°, d 1.783, rel. 56.7
26.72°, d 3.336, rel. 42.9
55.05°, d 1.668, rel. 23.4
78.52°, d 1.218, rel. 15.9
62.23°, d 1.492, rel. 15.7

Cell and atoms:
Lattice parameters (Å, degrees): 6.672 6.672 6.672 90.00 90.00 90.00
Element x y z (fractional)
Er 0.000 0.000 0.000
Er 0.500 0.500 0.500
Ga 0.000 0.250 0.500
Ga 0.000 0.750 0.500
Ga 0.250 0.500 0.000
Ga 0.500 0.000 0.250
Ga 0.500 0.000 0.750
Ga 0.750 0.500 0.000
Ru 0.000 0.500 0.250
Ru 0.000 0.500 0.750
Ru 0.250 0.000 0.500
Ru 0.500 0.250 0.000
Ru 0.500 0.750 0.000
Ru 0.750 0.000 0.500

---

(3)
This entry pairs a crystal structure of Be4H7F with its theoretical powder X-ray diffraction pattern. Radiation: Cu Ka. Structure: a structure optimized by DFT (PBE).

Peak list (6 most intense, 10° ≤ 2θ ≤ 90°, in order of falling intensity)
23.03°, d 3.862, rel. 100.0
33.39°, d 2.683, rel. 84.6
21.21°, d 4.190, rel. 52.6
30.52°, d 2.929, rel. 48.9
25.08°, d 3.551, rel. 43.6
31.85°, d 2.810, rel. 21.3

Cell and atoms:
Lattice parameters (Å, degrees): 11.585 4.494 4.097 90.00 90.00 90.00
Element x y z (fractional)
Be 0.089 0.005 0.000
Be 0.248 0.666 0.308
Be 0.252 0.334 0.808
Be 0.411 0.995 0.500
Be 0.589 0.995 0.500
Be 0.748 0.334 0.808
Be 0.752 0.666 0.308
Be 0.911 0.005 0.000
H 0.000 0.834 0.825
H 0.142 0.805 0.226
H 0.156 0.146 0.748
H 0.233 0.614 0.651
H 0.267 0.386 0.151
H 0.344 0.854 0.248
H 0.358 0.195 0.726
H 0.500 0.166 0.325
H 0.642 0.195 0.726
H 0.656 0.854 0.248
H 0.733 0.386 0.151
H 0.767 0.614 0.651
H 0.844 0.146 0.748
H 0.858 0.805 0.226
F 0.000 0.212 0.184
F 0.500 0.788 0.684

---

(4)
This entry pairs a crystal structure of V2ZnGaH with its theoretical powder X-ray diffraction pattern. Radiation: Cu Ka. Structure: a structure optimized by DFT (PBE).

Peak list (6 most intense, 10° ≤ 2θ ≤ 90°, in order of falling intensity)
40.51°, d 2.227, rel. 100.0
48.65°, d 1.872, rel. 29.1
85.32°, d 1.138, rel. 20.3
67.64°, d 1.385, rel. 20.1
43.96°, d 2.060, rel. 20.0
78.47°, d 1.219, rel. 12.7

Cell and atoms:
Lattice parameters (Å, degrees): 3.743 3.743 4.119 90.00 90.00 90.00
Element x y z (fractional)
V 0.000 0.500 0.000
V 0.500 0.000 0.000
Zn 0.000 0.000 0.500
Ga 0.500 0.500 0.500
H 0.000 0.000 0.000

---

(5)
This entry pairs a crystal structure of LuGaCo2 with its theoretical powder X-ray diffraction pattern. Radiation: Cu Ka. Structure: a structure optimized by DFT (PBE).

Peak list (6 most intense, 10° ≤ 2θ ≤ 90°, in order of falling intensity)
41.84°, d 2.159, rel. 100.0
40.92°, d 2.205, rel. 56.9
75.15°, d 1.264, rel. 33.8
32.37°, d 2.766, rel. 25.2
59.25°, d 1.559, rel. 18.6
28.62°, d 3.119, rel. 15.7

Cell and atoms:
Lattice parameters (Å, degrees): 3.119 3.119 5.983 90.00 90.00 90.00
Element x y z (fractional)
Lu 0.000 0.000 0.000
Ga 0.000 0.000 0.500
Co 0.500 0.500 0.285
Co 0.500 0.500 0.715

---

(6)
This entry pairs a crystal structure of SrTl6Pb23 with its theoretical powder X-ray diffraction pattern. Radiation: Cu Ka. Structure: a structure optimized by DFT (PBE).

Peak list (6 most intense, 10° ≤ 2θ ≤ 90°, in order of falling intensity)
32.01°, d 2.796, rel. 100.0
57.04°, d 1.614, rel. 35.7
45.89°, d 1.977, rel. 17.7
76.12°, d 1.251, rel. 13.9
66.92°, d 1.398, rel. 10.6
25.18°, d 3.537, rel. 4.4

Cell and atoms:
Lattice parameters (Å, degrees): 11.185 11.185 11.185 60.00 60.00 60.00
Element x y z (fractional)
Sr 0.000 0.000 0.000
Tl 0.249 0.249 0.751
Tl 0.249 0.751 0.249
Tl 0.249 0.751 0.751
Tl 0.751 0.249 0.249
Tl 0.751 0.249 0.751
Tl 0.751 0.751 0.249
Pb 0.000 0.000 0.500
Pb 0.000 0.500 0.000
Pb 0.000 0.500 0.500
Pb 0.107 0.631 0.631
Pb 0.137 0.137 0.137
Pb 0.137 0.137 0.590
Pb 0.137 0.590 0.137
Pb 0.369 0.369 0.369
Pb 0.369 0.369 0.893
Pb 0.369 0.893 0.369
Pb 0.410 0.863 0.863
Pb 0.500 0.000 0.000
Pb 0.500 0.000 0.500
Pb 0.500 0.500 0.000
Pb 0.500 0.500 0.500
Pb 0.590 0.137 0.137
Pb 0.631 0.107 0.631
Pb 0.631 0.631 0.107
Pb 0.631 0.631 0.631
Pb 0.863 0.410 0.863
Pb 0.863 0.863 0.410
Pb 0.863 0.863 0.863
Pb 0.893 0.369 0.369

---

(7)
This entry pairs a crystal structure of CeHfMg with its theoretical powder X-ray diffraction pattern. Radiation: Cu Ka. Structure: a structure optimized by DFT (PBE).

Peak list (6 most intense, 10° ≤ 2θ ≤ 90°, in order of falling intensity)
33.95°, d 2.641, rel. 100.0
11.72°, d 7.552, rel. 54.7
41.16°, d 2.193, rel. 29.6
55.58°, d 1.654, rel. 24.0
70.41°, d 1.337, rel. 24.0
35.67°, d 2.517, rel. 21.5

Cell and atoms:
Lattice parameters (Å, degrees): 7.864 7.864 7.864 157.25 157.25 32.39
Element x y z (fractional)
Ce 0.000 0.000 0.000
Hf 0.661 0.661 0.000
Mg 0.317 0.317 0.000

---

(8)
This entry pairs a crystal structure of Na2ScAgO4 with its theoretical powder X-ray diffraction pattern. Radiation: Cu Ka. Structure: a structure optimized by DFT (PBE).

Peak list (6 most intense, 10° ≤ 2θ ≤ 90°, in order of falling intensity)
35.49°, d 2.529, rel. 100.0
20.54°, d 4.323, rel. 98.6
57.33°, d 1.607, rel. 56.3
30.36°, d 2.944, rel. 48.8
43.48°, d 2.082, rel. 37.3
36.94°, d 2.433, rel. 37.2

Cell and atoms:
Lattice parameters (Å, degrees): 5.241 5.241 5.241 111.66 111.66 105.18
Element x y z (fractional)
Na 0.000 0.000 0.000
Na 0.750 0.250 0.500
Sc 0.500 0.500 0.000
Ag 0.250 0.750 0.500
O 0.127 0.093 0.629
O 0.465 0.498 0.371
O 0.502 0.873 0.967
O 0.907 0.535 0.033

---

(9)
This entry pairs a crystal structure of HgS4Cl2 with its theoretical powder X-ray diffraction pattern. Radiation: Cu Ka. Structure: a structure optimized by DFT (PBE).

Peak list (6 most intense, 10° ≤ 2θ ≤ 90°, in order of falling intensity)
18.18°, d 4.879, rel. 100.0
22.67°, d 3.922, rel. 65.1
36.85°, d 2.439, rel. 63.5
24.30°, d 3.663, rel. 54.2
39.68°, d 2.271, rel. 29.6
11.28°, d 7.844, rel. 28.4

Cell and atoms:
Lattice parameters (Å, degrees): 5.133 5.133 8.643 107.27 107.27 90.00
Element x y z (fractional)
Hg 0.000 0.000 0.000
S 0.535 0.535 0.487
S 0.535 0.949 0.486
S 0.949 0.535 0.486
S 0.949 0.949 0.486
Cl 0.497 0.997 0.993
Cl 0.997 0.497 0.993

---

(10)
This entry pairs a crystal structure of La2Pm7Mg2 with its theoretical powder X-ray diffraction pattern. Radiation: Cu Ka. Structure: a structure optimized by DFT (PBE).

Peak list (6 most intense, 10° ≤ 2θ ≤ 90°, in order of falling intensity)
32.19°, d 2.781, rel. 100.0
31.53°, d 2.838, rel. 71.4
29.01°, d 3.078, rel. 61.6
30.75°, d 2.908, rel. 49.0
31.87°, d 2.808, rel. 40.2
34.14°, d 2.626, rel. 39.3

Cell and atoms:
Lattice parameters (Å, degrees): 6.660 6.660 8.782 102.35 102.35 96.31
Element x y z (fractional)
La 0.179 0.821 0.000
La 0.821 0.179 0.000
Pm 0.030 0.385 0.675
Pm 0.360 0.360 0.087
Pm 0.385 0.030 0.675
Pm 0.500 0.500 0.500
Pm 0.615 0.970 0.325
Pm 0.640 0.640 0.913
Pm 0.970 0.615 0.325
Mg 0.116 0.116 0.337
Mg 0.884 0.884 0.663

---

(11)
This entry pairs a crystal structure of Ca4AcRh2 with its theoretical powder X-ray diffraction pattern. Radiation: Cu Ka. Structure: a structure optimized by DFT (PBE).

Peak list (6 most intense, 10° ≤ 2θ ≤ 90°, in order of falling intensity)
12.94°, d 6.840, rel. 100.0
11.92°, d 7.426, rel. 99.3
27.47°, d 3.247, rel. 82.7
36.77°, d 2.444, rel. 72.2
29.54°, d 3.024, rel. 68.2
25.36°, d 3.512, rel. 60.4

Cell and atoms:
Lattice parameters (Å, degrees): 8.031 6.494 8.454 90.00 112.39 90.00
Element x y z (fractional)
Ca 0.111 0.250 0.479
Ca 0.157 0.750 0.223
Ca 0.261 0.000 0.922
Ca 0.261 0.500 0.922
Ca 0.739 0.000 0.078
Ca 0.739 0.500 0.078
Ca 0.843 0.250 0.777
Ca 0.889 0.750 0.521
Ac 0.484 0.250 0.349
Ac 0.516 0.750 0.651
Rh 0.102 0.250 0.137
Rh 0.472 0.250 0.742
Rh 0.528 0.750 0.258
Rh 0.898 0.750 0.863

---

(12)
This entry pairs a crystal structure of MnTc2Rh with its theoretical powder X-ray diffraction pattern. Radiation: Cu Ka. Structure: a structure optimized by DFT (PBE).

Peak list (6 most intense, 10° ≤ 2θ ≤ 90°, in order of falling intensity)
40.87°, d 2.208, rel. 100.0
40.98°, d 2.202, rel. 99.5
47.62°, d 1.910, rel. 95.5
69.63°, d 1.350, rel. 39.1
84.08°, d 1.151, rel. 23.2
84.14°, d 1.151, rel. 23.2

Cell and atoms:
Lattice parameters (Å, degrees): 2.696 3.818 5.414 90.00 90.00 90.00
Element x y z (fractional)
Mn 0.000 0.000 0.000
Tc 0.000 0.000 0.503
Tc 0.500 0.500 0.756
Rh 0.500 0.500 0.244